The following is a computed XRD peak list of Sc3As. It was derived from a DFT-relaxed cell (PBE, Alexandria), using CuKα.
Peak positions follow from Bragg's law for the DFT cell and can differ from measured ones.

Structural model:
Cell lengths 8.3539, 8.3539, 8.3539 Å; angles 96.20, 96.20, 141.61 degrees
Sites, in units of the cell vectors:
Sc 0.0796 0.3877 0.4723
Sc 0.0918 0.1961 0.8261
Sc 0.2175 0.6759 0.8904
Sc 0.3241 0.2145 0.5415
Sc 0.3700 0.2657 0.1739
Sc 0.3927 0.9204 0.3081
Sc 0.6123 0.0846 0.6919
Sc 0.6730 0.7825 0.4585
Sc 0.7343 0.9082 0.1043
Sc 0.7855 0.3270 0.1096
Sc 0.8039 0.6300 0.8957
Sc 0.9154 0.6073 0.5277
As 0.2270 0.4728 0.1523
As 0.3205 0.0747 0.8477
As 0.5272 0.6795 0.7542
As 0.9253 0.7730 0.2458

Main lines, by angle (2θ = 10–90°):
2θ/deg	Rel. int.
33.23	758
34.58	837
36.00	821
37.03	1000
41.26	600
41.68	849